The following is a calculated PXRD pattern of LiFePH2O5. It was derived from a DFT-relaxed cell (GGA+U, the Materials Project), using Cu Kα X-rays.
Neutral-atom scattering factors, no anomalous dispersion.

The 10 most intense peaks (2θ from 10° to 80°), sorted by position:
- hkl 0 1 1, 19.6°, d 4.538, intensity 667
- hkl 1 2 0, 24.4°, d 3.655, intensity 376
- hkl 2 1 -1, 25.8°, d 3.449, intensity 348
- hkl 2 1 1, 28.1°, d 3.171, intensity 304
- hkl 1 2 -1, 28.7°, d 3.107, intensity 595
- hkl 2 2 0, 29.3°, d 3.053, intensity 1000
- hkl 1 0 -2, 32.7°, d 2.740, intensity 280
- hkl 1 1 2, 36.5°, d 2.464, intensity 480
- hkl 2 0 2, 39.1°, d 2.302, intensity 350
- hkl 3 0 -2, 40.8°, d 2.211, intensity 403

Crystal structure
a b c (Å): 9.6733 7.9012 5.5735
angles (deg): 90.00 95.89 90.00
Space group P2_1/c (No. 14)
One atom of each set of equivalent atoms:
Li 0.1486 0.0321 0.4488 (multiplicity 4)
Fe 0.4829 0.1959 0.7098 (multiplicity 4)
P 0.3011 0.5254 0.5179 (multiplicity 4)
H 0.0636 0.6038 0.3042 (multiplicity 4)
H 0.0823 0.7413 0.6282 (multiplicity 4)
O 0.0427 0.6422 0.1340 (multiplicity 4)
O 0.1534 0.5444 0.5936 (multiplicity 4)
O 0.3020 0.0819 0.7829 (multiplicity 4)
O 0.3677 0.7044 0.4842 (multiplicity 4)
O 0.3982 0.0553 0.2323 (multiplicity 4)

=====

The following is a calculated PXRD pattern of LiFePH2O5. It was derived from a DFT-relaxed cell (GGA+U, the Materials Project), using Cu Kα X-rays.
Neutral-atom scattering factors, no anomalous dispersion.

The 10 most intense peaks (2θ from 10° to 80°), sorted by position:
- hkl 0 1 0, 11.2°, d 7.922, intensity 1000
- hkl 1 1 0, 19.3°, d 4.606, intensity 172
- hkl 0 1 1, 22.0°, d 4.045, intensity 125
- hkl 1 0 1, 24.6°, d 3.618, intensity 86
- hkl 1 1 1, 27.1°, d 3.291, intensity 331
- hkl 2 0 0, 31.6°, d 2.831, intensity 215
- hkl 1 2 1, 33.5°, d 2.671, intensity 475
- hkl 1 3 1, 42.4°, d 2.133, intensity 121
- hkl 2 1 2, 51.8°, d 1.764, intensity 82
- hkl 2 4 0, 56.7°, d 1.623, intensity 87

Crystal structure
a b c (Å): 5.6611 7.9219 4.7043
angles (deg): 90.00 90.00 90.00
Space group Pmn2_1 (No. 31)
One atom of each set of equivalent atoms:
Li 0.0000 0.0329 0.0000 (multiplicity 2)
Fe 0.0000 0.5179 0.9411 (multiplicity 2)
P 0.0000 0.2643 0.5102 (multiplicity 2)
H 0.1385 0.7178 0.5120 (multiplicity 4)
O 0.0000 0.0767 0.5952 (multiplicity 2)
O 0.0000 0.2785 0.1820 (multiplicity 2)
O 0.0000 0.7200 0.6381 (multiplicity 2)
O 0.2169 0.3608 0.6457 (multiplicity 4)

=====

The following is a calculated PXRD pattern of Li2FePHO5. It was derived from a DFT-relaxed cell (GGA+U, the Materials Project), using Cu Kα X-rays.
Neutral-atom scattering factors, no anomalous dispersion.

The 10 most intense peaks (2θ from 10° to 80°), sorted by position:
- hkl 0 1 0, 17.3°, d 5.141, intensity 326
- hkl 1 0 -1, 17.6°, d 5.045, intensity 456
- hkl 1 0 0, 17.8°, d 4.994, intensity 253
- hkl 1 0 -2, 25.8°, d 3.454, intensity 523
- hkl 0 1 -2, 26.1°, d 3.411, intensity 1000
- hkl 1 1 0, 27.3°, d 3.272, intensity 787
- hkl -1 1 2, 34.6°, d 2.593, intensity 217
- hkl 1 -2 0, 36.0°, d 2.495, intensity 561
- hkl 1 -3 2, 53.8°, d 1.705, intensity 349
- hkl 2 0 2, 53.8°, d 1.703, intensity 281

Crystal structure
a b c (Å): 5.4320 5.5290 7.6035
angles (deg): 108.45 110.29 93.83
Space group P-1 (No. 2)
One atom of each set of equivalent atoms:
Li 0.0138 0.1374 0.3428 (multiplicity 2)
Li 0.2700 0.3933 0.1999 (multiplicity 2)
Fe 0.5000 0.0000 0.0000 (multiplicity 1)
Fe 0.5000 0.0000 0.5000 (multiplicity 1)
P 0.1715 0.3759 0.7431 (multiplicity 2)
H 0.1850 0.9053 0.1341 (multiplicity 2)
O 0.1054 0.7729 0.4254 (multiplicity 2)
O 0.1471 0.6632 0.8379 (multiplicity 2)
O 0.2365 0.2420 0.9032 (multiplicity 2)
O 0.3262 0.0576 0.2274 (multiplicity 2)
O 0.3842 0.3585 0.6491 (multiplicity 2)

=====

The following is a calculated PXRD pattern of LiFePH2O5. It was derived from a DFT-relaxed cell (GGA+U, the Materials Project), using Cu Kα X-rays.
Neutral-atom scattering factors, no anomalous dispersion.

The 10 most intense peaks (2θ from 10° to 80°), sorted by position:
- hkl 0 0 1, 11.0°, d 8.072, intensity 1000
- hkl 0 1 -1, 19.1°, d 4.651, intensity 75
- hkl 1 0 -1, 21.9°, d 4.062, intensity 105
- hkl 1 1 0, 24.5°, d 3.632, intensity 80
- hkl 1 1 1, 26.9°, d 3.318, intensity 142
- hkl 1 1 -1, 27.0°, d 3.306, intensity 120
- hkl 0 2 0, 31.3°, d 2.862, intensity 188
- hkl 1 1 2, 33.1°, d 2.707, intensity 218
- hkl 1 1 -2, 33.3°, d 2.693, intensity 203
- hkl 2 0 3, 51.6°, d 1.770, intensity 89

Crystal structure
a b c (Å): 4.7000 5.7236 8.0721
angles (deg): 89.54 89.93 89.93
Space group P1 (No. 1)
One atom of each set of equivalent atoms:
Li 0.0000 0.0000 0.0000 (multiplicity 1)
Li 0.4999 0.4959 0.8776 (multiplicity 1)
Fe 0.0741 0.9987 0.4616 (multiplicity 1)
Fe 0.5750 0.4966 0.4157 (multiplicity 1)
P 0.4971 0.9952 0.2119 (multiplicity 1)
P 0.9976 0.5002 0.6656 (multiplicity 1)
H 0.0113 0.3598 0.2250 (multiplicity 1)
H 0.0185 0.6311 0.2271 (multiplicity 1)
H 0.5089 0.1356 0.6533 (multiplicity 1)
H 0.5188 0.8644 0.6500 (multiplicity 1)
O 0.3263 0.4964 0.6525 (multiplicity 1)
O 0.3619 0.2051 0.3120 (multiplicity 1)
O 0.3704 0.7733 0.3038 (multiplicity 1)
O 0.3865 0.9968 0.6625 (multiplicity 1)
O 0.4041 0.0021 0.0301 (multiplicity 1)
O 0.8259 0.9984 0.2249 (multiplicity 1)
O 0.8630 0.2909 0.5651 (multiplicity 1)
O 0.8708 0.7220 0.5736 (multiplicity 1)
O 0.8875 0.4980 0.2154 (multiplicity 1)
O 0.9038 0.4933 0.8474 (multiplicity 1)

=====

The following is a calculated PXRD pattern of LiFePH2O5. It was derived from a DFT-relaxed cell (GGA+U, the Materials Project), using Cu Kα X-rays.
Neutral-atom scattering factors, no anomalous dispersion.

The 10 most intense peaks (2θ from 10° to 80°), sorted by position:
- hkl 2 0 0, 16.1°, d 5.522, intensity 838
- hkl 1 2 0, 23.1°, d 3.855, intensity 1000
- hkl 2 0 1, 23.7°, d 3.750, intensity 797
- hkl 2 1 1, 26.1°, d 3.413, intensity 190
- hkl 3 1 0, 26.5°, d 3.360, intensity 264
- hkl 1 2 1, 29.0°, d 3.078, intensity 524
- hkl 4 1 0, 34.3°, d 2.618, intensity 230
- hkl 0 0 2, 35.1°, d 2.555, intensity 414
- hkl 4 0 1, 37.0°, d 2.429, intensity 198
- hkl 1 2 2, 42.4°, d 2.130, intensity 223

Crystal structure
a b c (Å): 11.0442 8.2280 5.1098
angles (deg): 90.00 90.00 90.00
Space group Pna2_1 (No. 33)
One atom of each set of equivalent atoms:
Li 0.1158 0.1227 0.0000 (multiplicity 4)
Fe 0.1965 0.3129 0.5035 (multiplicity 4)
P 0.1674 0.9128 0.4935 (multiplicity 4)
H 0.0073 0.5693 0.1800 (multiplicity 4)
H 0.0382 0.6864 0.9474 (multiplicity 4)
O 0.0146 0.4044 0.4979 (multiplicity 4)
O 0.0499 0.8246 0.4303 (multiplicity 4)
O 0.1703 0.0856 0.3648 (multiplicity 4)
O 0.1840 0.9360 0.7972 (multiplicity 4)
O 0.2185 0.3163 0.8945 (multiplicity 4)

=====

What did the first record say?
The following is a calculated PXRD pattern of LiFePH2O5. It was derived from a DFT-relaxed cell (GGA+U, the Materials Project), using Cu Kα X-rays.
Neutral-atom scattering factors, no anomalous dispersion.

The 10 most intense peaks (2θ from 10° to 80°), sorted by position:
- hkl 0 1 1, 19.6°, d 4.538, intensity 667
- hkl 1 2 0, 24.4°, d 3.655, intensity 376
- hkl 2 1 -1, 25.8°, d 3.449, intensity 348
- hkl 2 1 1, 28.1°, d 3.171, intensity 304
- hkl 1 2 -1, 28.7°, d 3.107, intensity 595
- hkl 2 2 0, 29.3°, d 3.053, intensity 1000
- hkl 1 0 -2, 32.7°, d 2.740, intensity 280
- hkl 1 1 2, 36.5°, d 2.464, intensity 480
- hkl 2 0 2, 39.1°, d 2.302, intensity 350
- hkl 3 0 -2, 40.8°, d 2.211, intensity 403

Crystal structure
a b c (Å): 9.6733 7.9012 5.5735
angles (deg): 90.00 95.89 90.00
Space group P2_1/c (No. 14)
One atom of each set of equivalent atoms:
Li 0.1486 0.0321 0.4488 (multiplicity 4)
Fe 0.4829 0.1959 0.7098 (multiplicity 4)
P 0.3011 0.5254 0.5179 (multiplicity 4)
H 0.0636 0.6038 0.3042 (multiplicity 4)
H 0.0823 0.7413 0.6282 (multiplicity 4)
O 0.0427 0.6422 0.1340 (multiplicity 4)
O 0.1534 0.5444 0.5936 (multiplicity 4)
O 0.3020 0.0819 0.7829 (multiplicity 4)
O 0.3677 0.7044 0.4842 (multiplicity 4)
O 0.3982 0.0553 0.2323 (multiplicity 4)